1.
This entry pairs a crystal structure of Zn2Sn2SbP3 with its calculated powder diffraction line list. Radiation: CuKα. Structure: a DFT-relaxed cell (GGA-PBE, OQMD).
Kinematic intensities with the Lorentz-polarization factor, no thermal factor.

Cell and atoms:
abc: 7.1806 7.1806 5.8711
angles: 114.08 114.08 48.14
Atoms (fractional coordinates):
Zn 0.1358 0.1358 0.3631
Zn 0.8642 0.8642 0.6369
Sn 0.3361 0.4076 0.1089
Sn 0.5924 0.6639 0.8911
Sb 0.7668 0.2332 0.5000
P 0.2041 0.7959 0.0000
P 0.4797 0.0209 0.7332
P 0.9791 0.5203 0.2668

Peak list (10 most intense, 15 to 90 degrees two-theta, in order of rising 2θ)
| d [Å] | I (rel.) |
| --- | --- |
| 5.245 | 8.9 |
| 3.386 | 100.0 |
| 3.253 | 10.8 |
| 2.559 | 13.3 |
| 2.073 | 66.1 |
| 1.769 | 29.1 |
| 1.766 | 13.7 |
| 1.346 | 9.0 |
| 1.198 | 10.0 |
| 1.196 | 8.8 |



2.
This entry pairs a crystal structure of Zn2Sn2Sb3P with its calculated powder diffraction line list. Radiation: CuKα. Structure: a DFT-relaxed cell (GGA-PBE, OQMD).
Kinematic intensities with the Lorentz-polarization factor, no thermal factor.

Cell and atoms:
abc: 7.5840 7.5840 6.1861
angles: 113.78 113.78 48.37
Atoms (fractional coordinates):
Zn 0.1140 0.1140 0.3396
Zn 0.8860 0.8860 0.6604
Sn 0.4186 0.3383 0.1134
Sn 0.6617 0.5814 0.8866
Sb 0.0235 0.4780 0.7155
Sb 0.2487 0.7513 0.5000
Sb 0.5220 0.9765 0.2845
P 0.7880 0.2120 0.0000

Peak list (10 most intense, 15 to 90 degrees two-theta, in order of rising 2θ)
| d [Å] | I (rel.) |
| --- | --- |
| 3.581 | 100.0 |
| 2.306 | 6.6 |
| 2.194 | 61.3 |
| 2.184 | 12.2 |
| 1.873 | 21.9 |
| 1.868 | 14.4 |
| 1.864 | 7.1 |
| 1.552 | 8.0 |
| 1.425 | 9.3 |
| 1.269 | 7.1 |



3.
This entry pairs a crystal structure of TaPSe4 with its calculated powder diffraction line list. Radiation: CuKα. Structure: a DFT-relaxed cell (GGA-PBE, OQMD).
Kinematic intensities with the Lorentz-polarization factor, no thermal factor.

Cell and atoms:
abc: 24.7688 3.4145 3.4145
angles: 59.98 90.00 90.00
Atoms (fractional coordinates):
Ta 0.0000 0.0000 0.0000
P 0.5000 0.5001 0.5001
Se 0.0685 0.3333 0.3333
Se 0.4313 0.8332 0.8332
Se 0.5687 0.8332 0.8332
Se 0.9315 0.3333 0.3333

Peak list (10 most intense, 15 to 90 degrees two-theta, in order of rising 2θ)
| d [Å] | I (rel.) |
| --- | --- |
| 2.936 | 73.3 |
| 2.876 | 38.3 |
| 2.784 | 35.5 |
| 2.668 | 35.8 |
| 2.539 | 76.6 |
| 2.404 | 58.4 |
| 2.269 | 100.0 |
| 2.138 | 46.5 |
| 2.014 | 50.7 |
| 1.703 | 48.3 |



4.
This entry pairs a crystal structure of TaPSe4 with its calculated powder diffraction line list. Radiation: CuKα. Structure: a DFT-relaxed cell (GGA-PBE, OQMD).
Kinematic intensities with the Lorentz-polarization factor, no thermal factor.

Cell and atoms:
abc: 10.4377 10.4377 6.2756
angles: 90.00 90.00 161.02
Atoms (fractional coordinates):
Ta 0.0000 0.0000 0.0000
P 0.5000 0.5000 0.5114
Se 0.0792 0.9208 0.3146
Se 0.4200 0.5800 0.8321
Se 0.5800 0.4200 0.8321
Se 0.9208 0.0792 0.3146

Peak list (10 most intense, 15 to 90 degrees two-theta, in order of rising 2θ)
| d [Å] | I (rel.) |
| --- | --- |
| 5.358 | 53.9 |
| 3.005 | 26.3 |
| 2.986 | 80.9 |
| 2.762 | 36.9 |
| 2.679 | 40.2 |
| 2.434 | 100.0 |
| 2.316 | 62.2 |
| 2.106 | 78.3 |
| 1.822 | 24.9 |
| 1.781 | 57.6 |



5.
This entry pairs a crystal structure of Tm2PSe with its calculated powder diffraction line list. Radiation: CuKα. Structure: a DFT-relaxed cell (GGA-PBE, OQMD).
Kinematic intensities with the Lorentz-polarization factor, no thermal factor.

Cell and atoms:
abc: 3.9669 5.6072 8.0431
angles: 90.00 90.00 90.00
Atoms (fractional coordinates):
Tm 0.2500 0.2500 0.1102
Tm 0.2500 0.2500 0.6485
Tm 0.7500 0.7500 0.3515
Tm 0.7500 0.7500 0.8898
P 0.2500 0.7500 0.1242
P 0.7500 0.2500 0.8758
Se 0.2500 0.7500 0.6198
Se 0.7500 0.2500 0.3802

Peak list (10 most intense, 15 to 90 degrees two-theta, in order of rising 2θ)
| d [Å] | I (rel.) |
| --- | --- |
| 3.268 | 35.0 |
| 3.238 | 37.5 |
| 2.824 | 100.0 |
| 2.804 | 51.4 |
| 1.990 | 72.7 |
| 1.983 | 18.9 |
| 1.695 | 16.8 |
| 1.634 | 16.8 |
| 1.619 | 19.8 |
| 1.256 | 24.4 |



6.
This entry pairs a crystal structure of Tm3P2Se with its calculated powder diffraction line list. Radiation: CuKα. Structure: a DFT-relaxed cell (GGA-PBE, OQMD).
Kinematic intensities with the Lorentz-polarization factor, no thermal factor.

Cell and atoms:
abc: 3.9614 3.9614 9.7892
angles: 90.00 90.00 120.00
Atoms (fractional coordinates):
Tm 0.0000 0.0000 0.0000
Tm 0.3333 0.6667 0.3135
Tm 0.6667 0.3333 0.6865
P 0.3333 0.6667 0.8358
P 0.6667 0.3333 0.1642
Se 0.0000 0.0000 0.5000

Peak list (10 most intense, 15 to 90 degrees two-theta, in order of rising 2θ)
| d [Å] | I (rel.) |
| --- | --- |
| 3.263 | 13.3 |
| 3.238 | 46.5 |
| 2.809 | 100.0 |
| 1.992 | 32.6 |
| 1.981 | 36.2 |
| 1.693 | 12.8 |
| 1.619 | 19.1 |
| 1.259 | 12.2 |
| 1.253 | 16.4 |
| 1.146 | 11.2 |



7.
This entry pairs a crystal structure of Sm2ThP3 with its calculated powder diffraction line list. Radiation: CuKα. Structure: a DFT-relaxed cell (GGA-PBE, OQMD).
Kinematic intensities with the Lorentz-polarization factor, no thermal factor.

Cell and atoms:
abc: 7.1236 7.1236 7.1236
angles: 146.34 131.76 60.11
Atoms (fractional coordinates):
Sm 0.1669 0.1669 0.0000
Sm 0.8331 0.8331 0.0000
Th 0.5000 0.5000 0.0000
P 0.0000 0.5000 0.5000
P 0.3343 0.8343 0.5000
P 0.6657 0.1657 0.5000

Peak list (10 most intense, 15 to 90 degrees two-theta, in order of rising 2θ)
| d [Å] | I (rel.) |
| --- | --- |
| 3.362 | 92.4 |
| 2.912 | 100.0 |
| 2.059 | 61.9 |
| 1.756 | 30.9 |
| 1.754 | 15.4 |
| 1.683 | 13.1 |
| 1.679 | 13.0 |
| 1.302 | 22.5 |
| 1.190 | 12.8 |
| 1.187 | 12.7 |



8.
This entry pairs a crystal structure of SrZn2P2 with its calculated powder diffraction line list. Radiation: CuKα. Structure: a DFT-relaxed cell (GGA-PBE, OQMD).
Kinematic intensities with the Lorentz-polarization factor, no thermal factor.

Cell and atoms:
abc: 10.0362 4.1012 10.0553
angles: 90.00 90.03 90.00
Atoms (fractional coordinates):
Sr 0.0000 0.0000 0.0000
Sr 0.2494 0.5000 0.2496
Sr 0.5000 0.0000 0.5000
Sr 0.7506 0.5000 0.7504
Zn 0.1025 0.5000 0.7311
Zn 0.1484 0.0000 0.5174
Zn 0.3519 0.0000 0.9810
Zn 0.3989 0.5000 0.7676
Zn 0.6011 0.5000 0.2324
Zn 0.6481 0.0000 0.0190
Zn 0.8516 0.0000 0.4826
Zn 0.8975 0.5000 0.2689
P 0.0290 0.0000 0.3035
P 0.2205 0.5000 0.9460
P 0.2799 0.5000 0.5528
P 0.4698 0.0000 0.1966
P 0.5302 0.0000 0.8034
P 0.7201 0.5000 0.4472
P 0.7795 0.5000 0.0540
P 0.9710 0.0000 0.6965

Peak list (10 most intense, 15 to 90 degrees two-theta, in order of rising 2θ)
| d [Å] | I (rel.) |
| --- | --- |
| 3.177 | 100.0 |
| 2.512 | 65.1 |
| 2.368 | 17.4 |
| 2.050 | 56.5 |
| 1.970 | 19.4 |
| 1.723 | 16.5 |
| 1.589 | 20.9 |
| 1.551 | 17.8 |
| 1.319 | 16.8 |
| 1.256 | 11.6 |